# ZnAg2O4
Calculated PXRD pattern, Cu Ka. Input: a cell relaxed with GGA-PBE.
Neutral-atom scattering factors, no anomalous dispersion.

Atomic structure:
a b c (Å): 6.393 6.393 15.488
angles (deg): 90.00 90.00 120.00
Fractional coordinates of all 42 atoms:
Zn  0.000  0.000  0.000
Zn  0.000  0.000  0.244
Zn  0.333  0.667  0.579
Zn  0.667  0.333  0.288
Zn  0.667  0.333  0.667
Zn  0.667  0.333  0.914
Ag  0.000  0.000  0.624
Ag  0.167  0.333  0.790
Ag  0.167  0.833  0.790
Ag  0.333  0.667  0.332
Ag  0.333  0.667  0.957
Ag  0.336  0.168  0.456
Ag  0.503  0.005  0.123
Ag  0.503  0.497  0.123
Ag  0.667  0.833  0.790
Ag  0.832  0.168  0.456
Ag  0.832  0.664  0.456
Ag  0.995  0.497  0.123
O  0.000  0.000  0.373
O  0.000  0.000  0.870
O  0.008  0.504  0.872
O  0.159  0.318  0.533
O  0.159  0.841  0.533
O  0.172  0.344  0.043
O  0.172  0.828  0.043
O  0.324  0.162  0.709
O  0.333  0.667  0.193
O  0.333  0.667  0.709
O  0.353  0.177  0.208
O  0.496  0.504  0.872
O  0.496  0.992  0.872
O  0.521  0.042  0.380
O  0.521  0.479  0.380
O  0.656  0.828  0.043
O  0.667  0.333  0.044
O  0.667  0.333  0.541
O  0.682  0.841  0.533
O  0.823  0.177  0.208
O  0.823  0.647  0.208
O  0.838  0.162  0.709
O  0.838  0.676  0.709
O  0.958  0.479  0.380

Most intense lines, 5° ≤ 2θ ≤ 70°, sorted by position:
hkl	2θ/deg	I/Imax
2 0 1	32.92	100.0
1 0 5	33.14	31.6
0 2 2	34.41	26.2
2 0 4	40.04	29.3
2 2 0	57.68	28.3
0 2 8	58.15	27.6